This entry pairs a crystal structure of Ba7InPt2Au2 with its theoretical powder diffraction line list. Radiation: copper Kα. Structure: the GGA-PBE geometry in Alexandria.
Kinematic intensities with the Lorentz-polarization factor, no thermal factor.

Top 10 peaks for 2θ from 10° to 90°, low angle first:
- 2θ 14.16, intensity 45
- 2θ 21.07, intensity 22
- 2θ 27.59, intensity 75
- 2θ 27.69, intensity 78
- 2θ 28.22, intensity 66
- 2θ 28.82, intensity 23
- 2θ 35.01, intensity 27
- 2θ 39.49, intensity 57
- 2θ 39.91, intensity 100
- 2θ 49.24, intensity 53

Atomic structure:
Cell lengths 13.4491, 13.4491, 13.4491 Å; angles 152.28, 39.68, 152.18 degrees
Atoms (fractional coordinates):
Ba 0.0000 0.0000 0.0000
Ba 0.1372 0.5225 0.6147
Ba 0.2636 0.0218 0.2418
Ba 0.4080 0.5203 0.8877
Ba 0.6326 0.5203 0.1123
Ba 0.7801 0.0218 0.7582
Ba 0.9078 0.5225 0.3853
In 0.5916 0.0916 0.5000
Pt 0.1417 0.0226 0.1191
Pt 0.9035 0.0226 0.8809
Au 0.2729 0.5216 0.7513
Au 0.7703 0.5216 0.2487

---

This entry pairs a crystal structure of Li2ZnCl4 with its theoretical powder diffraction line list. Radiation: copper Kα. Structure: the GGA-PBE geometry in Alexandria.
Kinematic intensities with the Lorentz-polarization factor, no thermal factor.

Top 10 peaks for 2θ from 10° to 90°, low angle first:
- 2θ 17.65, intensity 76
- 2θ 21.92, intensity 13
- 2θ 27.87, intensity 100
- 2θ 30.05, intensity 10
- 2θ 36.06, intensity 15
- 2θ 43.86, intensity 15
- 2θ 44.69, intensity 21
- 2θ 47.10, intensity 37
- 2θ 53.49, intensity 24
- 2θ 84.12, intensity 11

Atomic structure:
Cell lengths 6.6072, 6.6072, 6.6072 Å; angles 128.56, 128.56, 75.72 degrees
Atoms (fractional coordinates):
Li 0.2500 0.7500 0.5000
Li 0.7500 0.2500 0.5000
Zn 0.0000 0.0000 0.0000
Cl 0.1055 0.6418 0.0000
Cl 0.3582 0.3582 0.4637
Cl 0.6418 0.1055 0.0000
Cl 0.8945 0.8945 0.5363

---

This entry pairs a crystal structure of PmDyF4 with its theoretical powder diffraction line list. Radiation: copper Kα. Structure: the GGA-PBE geometry in Alexandria.
Kinematic intensities with the Lorentz-polarization factor, no thermal factor.

Top 10 peaks for 2θ from 10° to 90°, low angle first:
- 2θ 23.47, intensity 100
- 2θ 28.78, intensity 98
- 2θ 33.43, intensity 27
- 2θ 44.68, intensity 79
- 2θ 48.01, intensity 19
- 2θ 53.93, intensity 18
- 2θ 54.11, intensity 18
- 2θ 56.94, intensity 23
- 2θ 67.67, intensity 16
- 2θ 77.62, intensity 14

Atomic structure:
Cell lengths 6.5726, 6.5726, 6.5726 Å; angles 109.58, 109.58, 109.26 degrees
Atoms (fractional coordinates):
Pm 0.0000 0.0000 0.0000
Pm 0.7500 0.2500 0.5000
Dy 0.2241 0.7241 0.5000
Dy 0.4741 0.4741 0.0000
F 0.2559 0.5375 0.7184
F 0.2688 0.9572 0.3117
F 0.2875 0.0690 0.7816
F 0.2875 0.5059 0.2184
F 0.6455 0.9572 0.6883
F 0.7072 0.5188 0.8117
F 0.7072 0.8955 0.1883
F 0.8190 0.5375 0.2816

---

- Which formula does entry 3 have?
  PmDyF4